No. 1
Computed X-ray diffraction stick pattern
Compound: Mn3Al10
Radiation: Cu Kα (λ = 1.5418 Å)
Structure: a crystal structure in Alexandria, relaxed with PBE
Lines closer than 0.1° are merged.

Principal peaks in the range 2θ from 10° to 90°, sorted by position:
- 13.6°, rel. 80
- 22.8°, rel. 19
- 37.3°, rel. 33
- 41.6°, rel. 24
- 43.3°, rel. 100
- 43.5°, rel. 85
- 44.7°, rel. 63
- 75.1°, rel. 27

abc: 7.5191 7.5191 7.7838
angles: 90.00 90.00 120.00
Space group P6_3/mmc (No. 194)
Unique sites:
Mn1 0.1210 0.2420 0.2500 x6
Al1 0.0000 0.0000 0.0000 x2
Al2 0.0862 0.5431 0.2500 x6
Al3 0.2002 0.4005 0.5649 x12

---

No. 2
Computed X-ray diffraction stick pattern
Compound: NaCdSeF
Radiation: Cu Kα (λ = 1.5418 Å)
Structure: a crystal structure in Alexandria, relaxed with PBE
Lines closer than 0.1° are merged.

Principal peaks in the range 2θ from 10° to 90°, sorted by position:
- 21.8°, rel. 86
- 24.8°, rel. 27
- 25.8°, rel. 100
- 34.5°, rel. 24
- 38.6°, rel. 65
- 43.5°, rel. 57
- 43.9°, rel. 25
- 49.2°, rel. 55

abc: 4.1621 4.1621 48.8711
angles: 90.00 90.00 120.00
Space group R-3m (No. 166, hexagonal axes)
Unique sites:
Na1 0.0000 0.0000 0.0431 x6
Cd1 0.0000 0.0000 0.4674 x6
Se1 0.0000 0.0000 0.2161 x6
F1 0.0000 0.0000 0.2897 x6

---

No. 3
Computed X-ray diffraction stick pattern
Compound: Ca3La2H8
Radiation: Cu Kα (λ = 1.5418 Å)
Structure: a crystal structure in Alexandria, relaxed with PBE
Lines closer than 0.1° are merged.

Principal peaks in the range 2θ from 10° to 90°, sorted by position:
- 15.3°, rel. 35
- 21.6°, rel. 56
- 22.6°, rel. 44
- 26.6°, rel. 96
- 27.4°, rel. 98
- 30.8°, rel. 49
- 31.4°, rel. 100
- 44.6°, rel. 71

abc: 8.2324 11.5944 3.9416
angles: 90.00 90.00 90.00
Space group Cmmm (No. 65)
Unique sites:
Ca1 0.0000 0.0000 0.0000 x2
Ca2 0.2012 0.5000 0.5000 x4
La1 0.0000 0.2683 0.0000 x4
H1 0.0000 0.1119 0.5000 x4
H2 0.0000 0.3732 0.5000 x4
H3 0.2291 0.1186 0.0000 x8

---

No. 4
Computed X-ray diffraction stick pattern
Compound: Ac5Ag2Au
Radiation: Cu Kα (λ = 1.5418 Å)
Structure: a crystal structure in Alexandria, relaxed with PBE
Lines closer than 0.1° are merged.

Principal peaks in the range 2θ from 10° to 90°, sorted by position:
- 25.9°, rel. 23
- 29.4°, rel. 100
- 30.4°, rel. 45
- 30.8°, rel. 18
- 31.7°, rel. 15
- 35.6°, rel. 44
- 49.7°, rel. 19
- 53.1°, rel. 16

abc: 7.9773 7.9773 17.3953
angles: 90.00 90.00 90.00
Space group I4/mcm (No. 140)
Unique sites:
Ac1 0.0000 0.0000 0.0000 x4
Ac2 0.1704 0.3296 0.1530 x16
Ag1 0.1239 0.3761 0.5000 x8
Au1 0.0000 0.0000 0.2500 x4

---

No. 5
Computed X-ray diffraction stick pattern
Compound: PaAl9Cu2
Radiation: Cu Kα (λ = 1.5418 Å)
Structure: a crystal structure in Alexandria, relaxed with PBE
Lines closer than 0.1° are merged.

Principal peaks in the range 2θ from 10° to 90°, sorted by position:
- 16.7°, rel. 41
- 22.6°, rel. 100
- 28.0°, rel. 42
- 33.1°, rel. 69
- 33.9°, rel. 29
- 37.1°, rel. 90
- 38.0°, rel. 48
- 39.4°, rel. 32

abc: 10.5895 10.5895 7.0286
angles: 90.00 90.00 90.00
Space group I4_1/amd (No. 141, origin choice 2)
Unique sites:
Pa1 0.0000 0.2500 0.3750 x4
Al1 0.0000 0.2500 0.8750 x4
Al2 0.1219 0.0499 0.6791 x32
Cu1 0.0000 0.0000 0.0000 x8

---

No. 6
Computed X-ray diffraction stick pattern
Compound: Sm2CuGe3
Radiation: Cu Kα (λ = 1.5418 Å)
Structure: a crystal structure in Alexandria, relaxed with PBE
Lines closer than 0.1° are merged.

Principal peaks in the range 2θ from 10° to 90°, sorted by position:
- 24.3°, rel. 13
- 32.6°, rel. 100
- 33.0°, rel. 50
- 42.4°, rel. 22
- 43.5°, rel. 59
- 54.8°, rel. 23
- 62.4°, rel. 14
- 63.2°, rel. 25

abc: 4.1611 4.2595 7.1624
angles: 90.00 90.00 90.00
Space group Pmm2 (No. 25)
Unique sites:
Sm1 0.0000 0.0000 0.0000 x1
Sm2 0.0000 0.5000 0.4919 x1
Cu1 0.5000 0.5000 0.8191 x1
Ge1 0.5000 0.0000 0.3329 x1
Ge2 0.5000 0.0000 0.6798 x1
Ge3 0.5000 0.5000 0.1477 x1

---

No. 7
Computed X-ray diffraction stick pattern
Compound: Nd12Tl2In5
Radiation: Cu Kα (λ = 1.5418 Å)
Structure: a crystal structure in Alexandria, relaxed with PBE
Lines closer than 0.1° are merged.

Principal peaks in the range 2θ from 10° to 90°, sorted by position:
- 29.4°, rel. 100
- 30.5°, rel. 38
- 30.9°, rel. 79
- 31.6°, rel. 55
- 31.8°, rel. 49
- 32.2°, rel. 56
- 32.4°, rel. 44
- 34.0°, rel. 34

abc: 16.6967 8.0637 9.3176
angles: 90.00 97.18 90.00
Space group C2/m (No. 12)
Unique sites:
Nd1 0.0273 0.0000 0.1888 x4
Nd2 0.0479 0.5000 0.6835 x4
Nd3 0.1460 0.2443 0.9663 x8
Nd4 0.1703 0.2846 0.3823 x8
Tl1 0.0000 0.1818 0.5000 x4
In1 0.0000 0.5000 0.0000 x2
In2 0.1624 0.0000 0.6804 x4
In3 0.2482 0.5000 0.7796 x4

---

No. 8
Computed X-ray diffraction stick pattern
Compound: Rb2Np3S6
Radiation: Cu Kα (λ = 1.5418 Å)
Structure: a crystal structure in Alexandria, relaxed with PBE
Lines closer than 0.1° are merged.

Principal peaks in the range 2θ from 10° to 90°, sorted by position:
- 11.3°, rel. 100
- 22.7°, rel. 30
- 25.7°, rel. 30
- 26.5°, rel. 53
- 29.7°, rel. 98
- 40.0°, rel. 37
- 44.8°, rel. 33
- 46.3°, rel. 26

abc: 7.0097 12.1392 8.1768
angles: 90.00 106.58 90.00
Space group C2/m (No. 12)
Unique sites:
Rb1 0.0000 0.1668 0.0000 x4
Np1 0.0000 0.0000 0.5000 x2
Np2 0.0000 0.3341 0.5000 x4
S1 0.2268 0.1676 0.6834 x8
S2 0.2297 0.5000 0.6839 x4

---

What did the seventh record say?
Computed X-ray diffraction stick pattern
Compound: Nd12Tl2In5
Radiation: Cu Kα (λ = 1.5418 Å)
Structure: a crystal structure in Alexandria, relaxed with PBE
Lines closer than 0.1° are merged.

Principal peaks in the range 2θ from 10° to 90°, sorted by position:
- 29.4°, rel. 100
- 30.5°, rel. 38
- 30.9°, rel. 79
- 31.6°, rel. 55
- 31.8°, rel. 49
- 32.2°, rel. 56
- 32.4°, rel. 44
- 34.0°, rel. 34

abc: 16.6967 8.0637 9.3176
angles: 90.00 97.18 90.00
Space group C2/m (No. 12)
Unique sites:
Nd1 0.0273 0.0000 0.1888 x4
Nd2 0.0479 0.5000 0.6835 x4
Nd3 0.1460 0.2443 0.9663 x8
Nd4 0.1703 0.2846 0.3823 x8
Tl1 0.0000 0.1818 0.5000 x4
In1 0.0000 0.5000 0.0000 x2
In2 0.1624 0.0000 0.6804 x4
In3 0.2482 0.5000 0.7796 x4